Computed X-ray powder pattern
Compound: KAl
Radiation: Cu Ka
Structure: a cell relaxed with GGA-PBE
Neutral-atom scattering factors, no anomalous dispersion.

Crystal structure
abc: 4.6911 3.6298 9.3224
angles: 90.00 90.00 90.00
Space group Pmma (No. 51)
One atom of each set of equivalent atoms:
K 0.2500 0.0000 0.2163 [2 per cell]
Al 0.2500 0.5000 0.5587 [2 per cell]

Most intense lines, 10° ≤ 2θ ≤ 90°, low angle first:
| two_theta | d_spacing | I/Imax | (hkl) |
| --- | --- | --- | --- |
| 21.2 | 4.190 | 59 | 1 0 1 |
| 26.3 | 3.382 | 42 | 0 1 1 |
| 27.0 | 3.306 | 42 | 1 0 2 |
| 28.7 | 3.107 | 19 | 0 0 3 |
| 31.2 | 2.864 | 75 | 0 1 2 |
| 32.6 | 2.744 | 100 | 1 1 1 |
| 34.6 | 2.591 | 56 | 1 0 3 |
| 38.4 | 2.346 | 29 | 2 0 0 |
| 47.2 | 1.927 | 16 | 2 1 1 |
| 50.3 | 1.815 | 47 | 0 2 0 |
| 50.4 | 1.809 | 35 | 1 1 4 |
| 62.5 | 1.486 | 17 | 1 2 3 |